Record 1
Structure and calculated XRD peak list of CeThS4 (DFT lattice parameters and positions (GGA-PBE); a wavelength of 1.5418 Å).
No peak broadening, texture or thermal motion is included.

Peak list (10 most intense, 10° ≤ 2θ ≤ 90°, low angle first)
- d = 3.822 Å, 23.27°, rel. 100
- d = 3.310 Å, 26.93°, rel. 20
- d = 2.341 Å, 38.46°, rel. 76
- d = 1.997 Å, 45.42°, rel. 43
- d = 1.993 Å, 45.52°, rel. 9
- d = 1.656 Å, 55.47°, rel. 9
- d = 1.520 Å, 60.97°, rel. 15
- d = 1.352 Å, 69.54°, rel. 22
- d = 1.275 Å, 74.41°, rel. 10
- d = 1.120 Å, 87.01°, rel. 8

```
12
Lattice="6.626 0.000 0.000 0.000 6.626 0.000 -0.011 0.000 6.609" Properties=species:S:1:pos:R:3 pbc="T T T"
Ce 0.000 0.000 0.000
Ce 3.313 3.313 0.000
Th -0.006 3.313 3.305
Th 3.307 0.000 3.305
S 1.654 1.658 1.635
S 1.648 1.655 4.975
S 1.654 4.968 1.635
S 1.648 4.971 4.975
S 4.967 1.655 1.635
S 4.961 1.658 4.975
S 4.967 4.971 1.635
S 4.961 4.968 4.975
```

***

Record 2
Structure and calculated XRD peak list of NaZnSe (DFT lattice parameters and positions (GGA-PBE); a wavelength of 1.5418 Å).
No peak broadening, texture or thermal motion is included.

Peak list (10 most intense, 10° ≤ 2θ ≤ 90°, low angle first)
- d = 6.989 Å, 12.67°, rel. 24
- d = 4.178 Å, 21.27°, rel. 21
- d = 3.949 Å, 22.51°, rel. 54
- d = 3.494 Å, 25.49°, rel. 32
- d = 2.462 Å, 36.50°, rel. 100
- d = 2.233 Å, 40.40°, rel. 60
- d = 2.012 Å, 45.05°, rel. 40
- d = 1.654 Å, 55.57°, rel. 23
- d = 1.421 Å, 65.70°, rel. 18
- d = 1.373 Å, 68.33°, rel. 23

```
6
Lattice="2.462 1.421 6.989 -2.462 1.421 6.989 0.000 -2.842 6.989" Properties=species:S:1:pos:R:3 pbc="T T T"
Na 0.000 0.000 2.445
Na 0.000 0.000 18.522
Zn 0.000 0.000 8.053
Zn 0.000 0.000 12.913
Se 0.000 0.000 5.446
Se 0.000 0.000 15.521
```

***

Record 3
Structure and calculated XRD peak list of TbHo4Hg (DFT lattice parameters and positions (GGA-PBE); a wavelength of 1.5418 Å).
No peak broadening, texture or thermal motion is included.

Peak list (10 most intense, 10° ≤ 2θ ≤ 90°, low angle first)
- d = 2.827 Å, 31.65°, rel. 100
- d = 2.515 Å, 35.71°, rel. 39
- d = 2.330 Å, 38.65°, rel. 12
- d = 1.778 Å, 51.39°, rel. 14
- d = 1.709 Å, 53.63°, rel. 18
- d = 1.505 Å, 61.62°, rel. 30
- d = 1.423 Å, 65.59°, rel. 7
- d = 1.413 Å, 66.11°, rel. 10
- d = 1.125 Å, 86.56°, rel. 7
- d = 1.111 Å, 87.87°, rel. 6

```
6
Lattice="3.556 0.000 0.000 0.000 3.556 0.000 0.000 0.000 13.978" Properties=species:S:1:pos:R:3 pbc="T T T"
Tb 0.000 0.000 0.000
Ho 0.000 0.000 4.979
Ho 0.000 0.000 9.000
Ho 1.778 1.778 2.487
Ho 1.778 1.778 11.491
Hg 1.778 1.778 6.989
```

***

Record 4
Structure and calculated XRD peak list of La3Pm6Er2Mg (DFT lattice parameters and positions (GGA-PBE); a wavelength of 1.5418 Å).
No peak broadening, texture or thermal motion is included.

Peak list (10 most intense, 10° ≤ 2θ ≤ 90°, low angle first)
- d = 2.963 Å, 30.16°, rel. 100
- d = 2.933 Å, 30.48°, rel. 32
- d = 2.559 Å, 35.06°, rel. 66
- d = 1.817 Å, 50.22°, rel. 24
- d = 1.803 Å, 50.63°, rel. 23
- d = 1.549 Å, 59.70°, rel. 14
- d = 1.545 Å, 59.86°, rel. 19
- d = 1.536 Å, 60.26°, rel. 13
- d = 1.482 Å, 62.71°, rel. 12
- d = 1.179 Å, 81.70°, rel. 12

```
12
Lattice="3.145 -5.454 0.000 3.145 5.454 0.000 -2.114 0.000 11.731" Properties=species:S:1:pos:R:3 pbc="T T T"
La 0.000 0.000 0.000
La 3.145 1.829 0.000
La 3.145 -1.829 0.000
Pm 1.059 1.807 3.032
Pm -0.009 0.000 8.713
Pm 1.059 -1.807 3.032
Pm 3.117 1.807 8.699
Pm 4.185 0.000 3.018
Pm 3.117 -1.807 8.699
Er 2.088 3.638 5.865
Er 2.088 -3.638 5.865
Mg 2.088 0.000 5.865
```

***

Record 5
Structure and calculated XRD peak list of NaCuB (DFT lattice parameters and positions (GGA-PBE); a wavelength of 1.5418 Å).
No peak broadening, texture or thermal motion is included.

Peak list (10 most intense, 10° ≤ 2θ ≤ 90°, low angle first)
- d = 5.009 Å, 17.71°, rel. 100
- d = 3.061 Å, 29.17°, rel. 27
- d = 2.979 Å, 30.00°, rel. 19
- d = 2.505 Å, 35.85°, rel. 59
- d = 2.323 Å, 38.77°, rel. 76
- d = 1.991 Å, 45.56°, rel. 17
- d = 1.968 Å, 46.12°, rel. 23
- d = 1.941 Å, 46.81°, rel. 23
- d = 1.902 Å, 47.83°, rel. 21
- d = 1.730 Å, 52.93°, rel. 18

```
12
Lattice="6.340 0.000 0.000 0.000 5.244 0.000 -1.348 0.000 5.009" Properties=species:S:1:pos:R:3 pbc="T T T"
Na 0.000 1.292 0.000
Na 0.000 3.951 0.000
Na 3.170 1.329 0.000
Na 3.170 3.914 0.000
Cu 1.426 2.622 2.434
Cu 2.173 0.000 2.495
Cu 4.596 0.000 2.434
Cu 5.343 2.622 2.495
B 0.217 0.823 2.607
B 0.217 4.421 2.607
B 3.387 1.799 2.607
B 3.387 3.445 2.607
```

***

Record 6
Structure and calculated XRD peak list of Ac2Ce2Tl5 (DFT lattice parameters and positions (GGA-PBE); a wavelength of 1.5418 Å).
No peak broadening, texture or thermal motion is included.

Peak list (10 most intense, 10° ≤ 2θ ≤ 90°, low angle first)
- d = 3.115 Å, 28.66°, rel. 32
- d = 2.977 Å, 30.02°, rel. 45
- d = 2.959 Å, 30.21°, rel. 100
- d = 2.904 Å, 30.79°, rel. 21
- d = 2.791 Å, 32.06°, rel. 38
- d = 2.629 Å, 34.10°, rel. 48
- d = 2.079 Å, 43.53°, rel. 28
- d = 1.704 Å, 53.78°, rel. 22
- d = 1.518 Å, 61.03°, rel. 22
- d = 1.479 Å, 62.82°, rel. 21

```
18
Lattice="8.317 -4.211 0.000 8.317 4.211 0.000 0.000 0.000 8.419" Properties=species:S:1:pos:R:3 pbc="T T T"
Ac 3.617 0.000 0.000
Ac 4.700 0.000 4.209
Ac 11.934 0.000 4.209
Ac 13.018 0.000 0.000
Ce 8.317 3.254 5.173
Ce 8.317 0.956 0.964
Ce 8.317 -0.956 7.455
Ce 8.317 -3.254 3.246
Tl 0.000 0.000 0.000
Tl 6.221 2.661 2.665
Tl 6.221 1.550 6.874
Tl 10.413 2.661 2.665
Tl 10.413 1.550 6.874
Tl 8.317 0.000 4.209
Tl 6.221 -1.550 1.545
Tl 6.221 -2.661 5.754
Tl 10.413 -1.550 1.545
Tl 10.413 -2.661 5.754
```

***

Record 7
Structure and calculated XRD peak list of La10Si8O3 (DFT lattice parameters and positions (GGA-PBE); a wavelength of 1.5418 Å).
No peak broadening, texture or thermal motion is included.

Peak list (10 most intense, 10° ≤ 2θ ≤ 90°, low angle first)
- d = 3.590 Å, 24.80°, rel. 16
- d = 3.332 Å, 26.75°, rel. 24
- d = 2.848 Å, 31.42°, rel. 100
- d = 2.742 Å, 32.66°, rel. 22
- d = 2.374 Å, 37.89°, rel. 17
- d = 2.338 Å, 38.50°, rel. 19
- d = 1.779 Å, 51.36°, rel. 12
- d = 1.760 Å, 51.96°, rel. 13
- d = 1.702 Å, 53.85°, rel. 15
- d = 1.430 Å, 65.25°, rel. 12

```
21
Lattice="10.967 0.000 0.000 -5.483 9.498 0.000 0.000 0.000 4.677" Properties=species:S:1:pos:R:3 pbc="T T T"
La 0.000 0.000 0.000
La -2.742 4.749 2.338
La 0.000 3.988 0.000
La -2.030 7.504 0.000
La 3.454 1.994 0.000
La 5.483 0.000 2.338
La 2.742 4.749 2.338
La 2.030 7.504 0.000
La 7.513 1.994 0.000
La 5.483 5.510 0.000
Si -1.195 2.069 2.338
Si -4.289 7.428 2.338
Si 2.389 0.000 2.338
Si 1.195 2.069 2.338
Si 0.000 6.332 2.338
Si 5.483 3.166 2.338
Si 8.577 0.000 2.338
Si 4.289 7.428 2.338
O -2.742 4.749 0.000
O 5.483 0.000 0.000
O 2.742 4.749 0.000
```

***

Record 8
Structure and calculated XRD peak list of DyAs2Rh5Pb (DFT lattice parameters and positions (GGA-PBE); a wavelength of 1.5418 Å).
No peak broadening, texture or thermal motion is included.

Peak list (10 most intense, 10° ≤ 2θ ≤ 90°, low angle first)
- d = 3.039 Å, 29.39°, rel. 21
- d = 2.459 Å, 36.55°, rel. 100
- d = 2.212 Å, 40.80°, rel. 12
- d = 2.091 Å, 43.28°, rel. 66
- d = 1.955 Å, 46.44°, rel. 12
- d = 1.723 Å, 53.16°, rel. 8
- d = 1.520 Å, 60.97°, rel. 15
- d = 1.479 Å, 62.84°, rel. 16
- d = 1.320 Å, 71.50°, rel. 14
- d = 1.267 Å, 74.94°, rel. 24

```
9
Lattice="4.183 0.000 0.000 0.000 4.183 0.000 0.000 0.000 8.847" Properties=species:S:1:pos:R:3 pbc="T T T"
Dy 0.000 0.000 0.000
As 2.091 2.091 1.259
As 2.091 2.091 7.588
Rh 0.000 2.091 2.402
Rh 0.000 2.091 6.445
Rh 2.091 0.000 2.402
Rh 2.091 0.000 6.445
Rh 2.091 2.091 4.423
Pb 0.000 0.000 4.423
```

***

Record 9
Structure and calculated XRD peak list of Bi14Pb4Cl8O21 (DFT lattice parameters and positions (GGA-PBE); a wavelength of 1.5418 Å).
No peak broadening, texture or thermal motion is included.

Peak list (10 most intense, 10° ≤ 2θ ≤ 90°, low angle first)
- d = 7.936 Å, 11.15°, rel. 38
- d = 3.612 Å, 24.65°, rel. 45
- d = 3.422 Å, 26.04°, rel. 57
- d = 3.007 Å, 29.71°, rel. 100
- d = 2.824 Å, 31.69°, rel. 31
- d = 2.792 Å, 32.05°, rel. 56
- d = 2.739 Å, 32.69°, rel. 24
- d = 2.004 Å, 45.25°, rel. 26
- d = 1.965 Å, 46.21°, rel. 21
- d = 1.947 Å, 46.64°, rel. 27

```
47
Lattice="14.462 -1.965 0.000 14.462 1.965 0.000 -11.577 0.000 17.091" Properties=species:S:1:pos:R:3 pbc="T T T"
Bi 0.000 0.000 0.000
Bi -3.142 0.000 6.527
Bi 0.423 0.000 4.788
Bi 4.098 0.000 3.033
Bi 7.919 0.000 0.407
Bi 6.984 0.000 11.686
Bi 10.587 0.000 9.656
Bi 14.170 0.000 7.914
Bi 17.759 0.000 6.119
Bi 14.946 0.000 12.448
Bi 21.610 0.000 4.084
Bi 18.560 0.000 10.436
Bi 25.133 0.000 1.784
Bi 22.152 0.000 8.411
Pb -7.875 0.000 15.259
Pb -0.088 0.000 15.695
Pb 3.503 0.000 13.753
Pb 11.191 0.000 14.452
Cl -4.689 0.000 11.677
Cl -1.320 0.000 10.092
Cl 2.067 0.000 8.600
Cl 5.501 0.000 7.222
Cl 9.026 0.000 5.824
Cl 12.454 0.000 4.275
Cl 15.775 0.000 2.645
Cl 19.175 0.000 0.877
O -10.042 0.000 15.404
O -7.940 0.000 13.039
O -4.339 0.000 8.459
O -0.812 0.000 6.796
O 2.686 0.000 5.119
O -4.151 0.000 15.367
O 6.241 0.000 3.353
O 1.161 0.000 13.313
O 10.108 0.000 0.995
O 4.848 0.000 11.233
O 2.413 0.000 16.086
O 8.377 0.000 9.337
O 11.894 0.000 7.600
O 15.403 0.000 5.942
O 18.887 0.000 4.226
O 11.752 0.000 16.795
O 13.698 0.000 14.159
O 22.882 0.000 2.488
O 17.340 0.000 12.168
O 26.719 0.000 0.205
O 20.996 0.000 10.237
```

***

Record 10
Structure and calculated XRD peak list of LaDy2ErHg4 (DFT lattice parameters and positions (GGA-PBE); a wavelength of 1.5418 Å).
No peak broadening, texture or thermal motion is included.

Peak list (10 most intense, 10° ≤ 2θ ≤ 90°, low angle first)
- d = 2.678 Å, 33.46°, rel. 100
- d = 2.649 Å, 33.84°, rel. 100
- d = 1.883 Å, 48.33°, rel. 36
- d = 1.552 Å, 59.58°, rel. 18
- d = 1.535 Å, 60.31°, rel. 37
- d = 1.529 Å, 60.55°, rel. 19
- d = 1.339 Å, 70.31°, rel. 11
- d = 1.324 Å, 71.20°, rel. 12
- d = 1.195 Å, 80.36°, rel. 15
- d = 1.187 Å, 81.00°, rel. 17

```
8
Lattice="2.649 1.529 8.795 -2.649 1.529 8.795 0.000 -3.058 8.795" Properties=species:S:1:pos:R:3 pbc="T T T"
La 0.000 0.000 0.000
Dy 0.000 0.000 6.555
Dy 0.000 0.000 19.829
Er 0.000 0.000 13.192
Hg 0.000 0.000 3.373
Hg 0.000 0.000 10.032
Hg 0.000 0.000 16.351
Hg 0.000 0.000 23.011
```

***

Record 11
Structure and calculated XRD peak list of Sr2GaSb2O7 (DFT lattice parameters and positions (GGA-PBE); a wavelength of 1.5418 Å).
No peak broadening, texture or thermal motion is included.

Peak list (10 most intense, 10° ≤ 2θ ≤ 90°, low angle first)
- d = 5.365 Å, 16.52°, rel. 43
- d = 4.203 Å, 21.14°, rel. 46
- d = 3.903 Å, 22.78°, rel. 29
- d = 3.577 Å, 24.89°, rel. 26
- d = 3.020 Å, 29.58°, rel. 63
- d = 2.925 Å, 30.56°, rel. 74
- d = 2.734 Å, 32.76°, rel. 100
- d = 2.714 Å, 33.00°, rel. 90
- d = 2.101 Å, 43.05°, rel. 79
- d = 1.649 Å, 55.73°, rel. 31

```
24
Lattice="11.118 -2.925 0.000 11.118 2.925 0.000 -1.580 0.000 5.830" Properties=species:S:1:pos:R:3 pbc="T T T"
Sr 3.149 0.000 0.758
Sr 7.252 0.003 1.857
Sr 13.403 0.003 3.973
Sr 17.506 0.000 5.072
Ga 4.510 0.205 3.869
Ga 16.146 0.205 1.962
Sb 0.700 -0.023 3.367
Sb 8.049 -0.021 5.338
Sb 12.606 -0.021 0.492
Sb 19.955 -0.023 2.464
O 8.034 1.445 3.786
O 9.138 1.466 0.952
O 2.740 -0.141 4.313
O 11.517 1.466 4.878
O 12.621 1.445 2.045
O 5.850 -0.126 5.125
O 4.924 -0.845 2.342
O 8.031 -1.513 3.758
O 9.115 -1.487 1.009
O 14.805 -0.126 0.705
O 11.541 -1.487 4.821
O 17.915 -0.141 1.517
O 12.625 -1.513 2.072
O 15.731 -0.845 3.488
```

***

Record 12
Structure and calculated XRD peak list of NaZnPt (DFT lattice parameters and positions (GGA-PBE); a wavelength of 1.5418 Å).
No peak broadening, texture or thermal motion is included.

Peak list (10 most intense, 10° ≤ 2θ ≤ 90°, low angle first)
- d = 5.134 Å, 17.27°, rel. 100
- d = 4.205 Å, 21.13°, rel. 22
- d = 3.253 Å, 27.42°, rel. 13
- d = 2.567 Å, 34.95°, rel. 24
- d = 2.499 Å, 35.93°, rel. 13
- d = 2.366 Å, 38.04°, rel. 30
- d = 2.148 Å, 42.06°, rel. 60
- d = 2.102 Å, 43.02°, rel. 13
- d = 1.946 Å, 46.69°, rel. 19
- d = 1.740 Å, 52.61°, rel. 22

```
6
Lattice="0.000 4.205 5.134 2.861 0.000 5.134 2.861 4.205 0.000" Properties=species:S:1:pos:R:3 pbc="T T T"
Na 2.861 1.644 5.134
Na 2.861 6.766 5.134
Zn 2.861 4.205 2.809
Zn 2.861 4.205 7.459
Pt 1.431 2.102 2.567
Pt 4.292 6.307 7.701
```